# CdI3Br9
Calculated X-ray diffraction stick pattern, Cu Kα X-rays. Input: a structure optimized by DFT (PBE).

Peak list (10 most intense, 10 to 80 degrees two-theta, in order of falling intensity)
d [Å]	I/Imax
5.423	100
6.792	65
4.602	36
2.911	34
7.149	33
8.730	31
5.138	27
3.067	27
2.188	23
3.868	18

Atomic structure:
```
26
Lattice="10.6219 -5.5115 0.0000 10.6219 5.5115 0.0000 -7.3085 0.0000 12.6825" Properties=species:S:1:pos:R:3 pbc="T T T"
Cd 6.9676 3.0182 6.3412
Cd 10.6219 -3.0182 0.0000
I 2.0640 0.0952 3.1818
I -1.5903 -0.0952 9.5230
I 10.6522 0.9034 5.2492
I 6.9979 -0.9034 11.5904
I 16.6836 0.6744 4.2219
I 13.0293 -0.6744 10.5632
Br 6.9224 3.4323 3.7340
Br 1.6546 2.4471 11.1886
Br 3.7123 0.7080 5.1912
Br 5.3222 1.2112 7.2766
Br 11.6790 3.3455 4.1786
Br 0.0580 -0.7080 11.5324
Br 9.3777 2.5544 7.3482
Br 8.9765 -1.2112 0.9354
Br 8.1464 0.6119 9.8555
Br 5.3089 -2.4471 4.8474
Br 11.8007 -0.6119 3.5142
Br 16.4691 1.0176 1.6690
Br 3.2681 -3.4323 10.0752
Br 13.0320 -2.5544 1.0070
Br 12.8148 -1.0176 8.0102
Br 8.0247 -3.3455 10.5199
Br 16.9670 0.0372 7.0320
Br 20.6213 -0.0372 0.6908
```